[1]
Computed powder XRD pattern
Compound: Cs2LiMnC6N6
Radiation: λ = 1.5418 Å (Cu Kα)
Structure: a cell relaxed with GGA-PBE

Atomic structure:
```
data_Cs2LiMnC6N6
_space_group_name_H-M_alt 'F m -3 m'
_space_group_IT_number 225
_space_group_name_Hall '-F 4 2 3'
_cell_length_a 10.731
_cell_length_b 10.731
_cell_length_c 10.731
_cell_angle_alpha 90.00
_cell_angle_beta 90.00
_cell_angle_gamma 90.00
loop_
_atom_site_label
_atom_site_fract_x
_atom_site_fract_y
_atom_site_fract_z
Cs1 0.250 0.250 0.250
Li1 0.000 0.000 0.000
Mn1 0.000 0.000 0.500
C1 0.000 0.000 0.317
N1 0.000 0.000 0.208
```

Principal peaks in the range 2θ from 15° to 90°, in order of rising 2θ:
| d_spacing | Position (°2θ) | I/Imax | index |
| --- | --- | --- | --- |
| 3.794 | 23.45 | 100 | 2 2 0 |
| 3.098 | 28.82 | 47 | 2 2 2 |
| 2.683 | 33.40 | 43 | 4 0 0 |
| 2.191 | 41.21 | 35 | 4 2 2 |
| 1.697 | 54.04 | 27 | 6 2 0 |
| 1.434 | 65.04 | 26 | 6 4 2 |

***

[2]
Computed powder XRD pattern
Compound: LiGd3
Radiation: λ = 1.5418 Å (Cu Kα)
Structure: a cell relaxed with GGA-PBE

Atomic structure:
```
data_LiGd3
_space_group_name_H-M_alt 'P 63/m m c'
_space_group_IT_number 194
_space_group_name_Hall '-P 6c 2c'
_cell_length_a 7.0464
_cell_length_b 7.0464
_cell_length_c 5.5787
_cell_angle_alpha 90.00
_cell_angle_beta 90.00
_cell_angle_gamma 120.00
loop_
_atom_site_label
_atom_site_fract_x
_atom_site_fract_y
_atom_site_fract_z
Li1 0.3333 0.6667 0.2500
Gd1 0.1698 0.3397 0.7500
```

Principal peaks in the range 2θ from 15° to 90°, in order of rising 2θ:
| d_spacing | Position (°2θ) | I/Imax | index |
| --- | --- | --- | --- |
| 4.117 | 21.58 | 34 | 1 0 1 |
| 3.051 | 29.27 | 24 | 2 0 0 |
| 2.789 | 32.09 | 25 | 0 0 2 |
| 2.677 | 33.47 | 100 | 2 0 1 |
| 1.588 | 58.09 | 21 | 2 0 3 |
| 1.489 | 62.34 | 22 | 2 2 2 |